The following is a calculated powder diffraction line list of Be2ZnAu6. It was derived from a cell relaxed with PBE, using Cu Kα.
No peak broadening, texture or thermal motion is included.

Principal peaks in the range 5 to 70 degrees two-theta, in order of falling intensity:
43.0°, 2.105 Å, rel. 100, (1 1 6)
31.0°, 2.886 Å, rel. 100, (1 1 0)
29.0°, 3.077 Å, rel. 53, (0 0 6)
44.4°, 2.040 Å, rel. 50, (2 0 0)
53.9°, 1.700 Å, rel. 39, (2 0 6)
64.6°, 1.443 Å, rel. 17, (2 2 0)
69.2°, 1.357 Å, rel. 13, (1 1 12)
60.2°, 1.538 Å, rel. 7, (0 0 12)
36.7°, 2.447 Å, rel. 6, (1 1 4)
60.6°, 1.529 Å, rel. 5, (2 0 8)

```
data_Be2ZnAu6
_chemical_formula_sum 'Be4 Zn2 Au12'
_space_group_name_H-M_alt 'I 4/m m m'
_space_group_IT_number 139
_space_group_name_Hall '-I 4 2'
_cell_length_a 4.081
_cell_length_b 4.081
_cell_length_c 18.459
_cell_angle_alpha 90.00
_cell_angle_beta 90.00
_cell_angle_gamma 90.00
loop_
_atom_site_label
_atom_site_fract_x
_atom_site_fract_y
_atom_site_fract_z
Be1 0.000 0.000 0.171
Zn1 0.000 0.000 0.500
Au1 0.000 0.500 0.094
Au2 0.000 0.500 0.250
```